Structure and computed X-ray powder pattern of Gd3AlVS7 (DFT lattice parameters and positions (GGA-PBE); a wavelength of 1.5418 Å).

Cell and atoms:
Unit cell a=9.7725 b=9.7725 c=6.0462 alpha=90.00 beta=90.00 gamma=120.00
Space group P6_3 (No. 173)
Asymmetric unit:
Gd (0.1456, 0.7692, 0.0000) x6
Al (0.3333, 0.6667, 0.5745) x2
V (0.0000, 0.0000, 0.1758) x2
S (0.0924, 0.5162, 0.7279) x6
S (0.0922, 0.8635, 0.4223) x6
S (0.3333, 0.6667, 0.2084) x2

Largest 10 diffraction maxima, in order of rising 2θ, 15° ≤ 2θ ≤ 90°:
2θ/deg	I (rel.)	(hkl)
18.0	48	1 0 1
23.4	29	1 1 1
25.7	100	2 0 1
27.9	38	2 1 0
35.1	38	3 0 1
36.5	36	2 0 2
36.8	31	2 2 0
41.1	39	2 1 2
41.3	36	1 3 1
51.8	26	4 1 1